Record 1
The following is a simulated X-ray diffraction stick pattern of Mg14VCoO16. It was derived from a crystal structure in the Materials Project, relaxed with PBE+U, using Cu Kα (weighted mean of Kα1 and Kα2).
Lines closer than 0.1° are merged.

Top 10 peaks for 2θ from 15° to 90°, sorted by position:
20.75°, d 4.282, rel. 5
25.64°, d 3.474, rel. 5
36.46°, d 2.464, rel. 25
42.21°, d 2.141, rel. 100
42.63°, d 2.121, rel. 49
61.23°, d 1.514, rel. 28
61.55°, d 1.507, rel. 55
73.41°, d 1.290, rel. 10
73.99°, d 1.281, rel. 5
77.46°, d 1.232, rel. 25

Cell and atoms:
```
Mg14VCoO16
1.0
8.5634 0.0000 0.0000
0.0000 8.5634 0.0000
0.0000 0.0000 4.2420
Mg V Co O
14 1 1 16
Direct
0.0000 0.2488 0.0000
0.0000 0.5000 0.5000
0.0000 0.7512 0.0000
0.2474 0.2474 0.5000
0.2470 0.5000 0.0000
0.2474 0.7526 0.5000
0.2488 0.0000 0.0000
0.5000 0.0000 0.5000
0.5000 0.2470 0.0000
0.5000 0.7530 0.0000
0.7512 0.0000 0.0000
0.7526 0.2474 0.5000
0.7530 0.5000 0.0000
0.7526 0.7526 0.5000
0.5000 0.5000 0.5000
0.0000 0.0000 0.5000
0.0000 0.0000 0.0000
0.0000 0.2572 0.5000
0.0000 0.5000 0.0000
0.0000 0.7428 0.5000
0.2488 0.5000 0.5000
0.2500 0.2500 0.0000
0.2500 0.7500 0.0000
0.2572 0.0000 0.5000
0.5000 0.0000 0.0000
0.5000 0.2488 0.5000
0.5000 0.5000 0.0000
0.5000 0.7512 0.5000
0.7428 0.0000 0.5000
0.7500 0.2500 0.0000
0.7500 0.7500 0.0000
0.7512 0.5000 0.5000
```



Record 2
The following is a simulated X-ray diffraction stick pattern of MgV4P4O20. It was derived from a crystal structure in the Materials Project, relaxed with PBE+U, using Cu Kα (weighted mean of Kα1 and Kα2).
Lines closer than 0.1° are merged.

Top 10 peaks for 2θ from 15° to 90°, sorted by position:
18.61°, d 4.768, rel. 18
19.10°, d 4.646, rel. 44
19.33°, d 4.591, rel. 27
21.75°, d 4.086, rel. 22
26.70°, d 3.338, rel. 23
26.92°, d 3.312, rel. 50
27.42°, d 3.253, rel. 100
27.71°, d 3.219, rel. 62
27.87°, d 3.201, rel. 41
56.44°, d 1.630, rel. 22

Cell and atoms:
```
MgV4P4O20
1.0
5.2389 0.0000 0.0000
2.4706 6.9226 0.0000
2.5497 2.6121 9.5363
Mg V P O
1 4 4 20
Direct
0.0000 0.0000 0.0000
0.0000 0.5000 0.0000
0.0363 0.2678 0.7312
0.5000 0.0000 0.5000
0.9637 0.7322 0.2688
0.3528 0.0634 0.1943
0.4001 0.5638 0.6975
0.5999 0.4362 0.3025
0.6472 0.9366 0.8057
0.0353 0.6757 0.0844
0.1807 0.9455 0.1683
0.1977 0.1564 0.5893
0.2427 0.4615 0.6501
0.2719 0.2814 0.1050
0.2854 0.5709 0.8522
0.2907 0.5397 0.3196
0.2969 0.0522 0.3528
0.3365 0.0308 0.8469
0.3583 0.7792 0.6017
0.6417 0.2208 0.3983
0.6635 0.9692 0.1531
0.7031 0.9478 0.6472
0.7093 0.4603 0.6804
0.7146 0.4291 0.1478
0.7281 0.7186 0.8950
0.7573 0.5385 0.3499
0.8023 0.8436 0.4107
0.8193 0.0545 0.8317
0.9647 0.3243 0.9156
```



Record 3
The following is a simulated X-ray diffraction stick pattern of LiV6O13. It was derived from a crystal structure in the Materials Project, relaxed with PBE+U, using Cu Kα (weighted mean of Kα1 and Kα2).
Lines closer than 0.1° are merged.

Top 10 peaks for 2θ from 15° to 90°, sorted by position:
16.76°, d 5.290, rel. 30
25.08°, d 3.551, rel. 100
25.25°, d 3.527, rel. 63
29.56°, d 3.022, rel. 29
32.94°, d 2.720, rel. 20
33.03°, d 2.712, rel. 17
42.73°, d 2.116, rel. 25
44.80°, d 2.023, rel. 28
48.97°, d 1.860, rel. 38
58.69°, d 1.573, rel. 16

Cell and atoms:
```
LiV6O13
1.0
3.7200 0.0000 0.0000
-1.8587 11.3126 0.0000
-0.0353 -4.2950 11.3521
Li V O
2 12 26
Direct
0.1883 0.3700 0.2643
0.8117 0.6300 0.7357
0.0527 0.1034 0.4584
0.0722 0.1456 0.7837
0.2200 0.4932 0.8885
0.2267 0.4484 0.5740
0.4263 0.8547 0.0159
0.4361 0.8720 0.7308
0.5639 0.1280 0.2692
0.5737 0.1453 0.9841
0.7733 0.5516 0.4260
0.7800 0.5068 0.1115
0.9278 0.8544 0.2163
0.9473 0.8966 0.5416
0.0407 0.0814 0.2827
0.0407 0.0816 0.6065
0.0641 0.1265 0.9415
0.1453 0.2895 0.5278
0.1490 0.3058 0.8214
0.2455 0.4938 0.4283
0.2475 0.4981 0.0704
0.2607 0.5037 0.7444
0.3442 0.6966 0.9494
0.3575 0.7150 0.6965
0.4438 0.8884 0.5688
0.4489 0.8974 0.1953
0.4568 0.9139 0.9000
0.5432 0.0861 0.1000
0.5511 0.1026 0.8047
0.5562 0.1116 0.4312
0.6425 0.2850 0.3035
0.6558 0.3034 0.0506
0.7393 0.4963 0.2556
0.7525 0.5019 0.9296
0.7545 0.5062 0.5717
0.8510 0.6942 0.1786
0.8547 0.7105 0.4722
0.9359 0.8735 0.0585
0.9593 0.9184 0.3935
0.9593 0.9186 0.7173
```



Record 4
The following is a simulated X-ray diffraction stick pattern of Li9Mn2Co5O16. It was derived from a crystal structure in the Materials Project, relaxed with PBE+U, using Cu Kα (weighted mean of Kα1 and Kα2).
Lines closer than 0.1° are merged.

Top 10 peaks for 2θ from 15° to 90°, sorted by position:
18.33°, d 4.839, rel. 100
35.42°, d 2.534, rel. 15
36.07°, d 2.490, rel. 13
36.67°, d 2.451, rel. 12
37.61°, d 2.392, rel. 8
42.59°, d 2.123, rel. 29
43.71°, d 2.071, rel. 27
44.56°, d 2.034, rel. 25
62.85°, d 1.479, rel. 8
63.76°, d 1.460, rel. 14

Cell and atoms:
```
Li9Mn2Co5O16
1.0
5.9162 0.0000 0.0000
1.5179 6.3046 0.0000
1.2972 0.1012 7.6701
Li Mn Co O
9 2 5 16
Direct
0.0000 0.0000 0.0000
0.0537 0.1170 0.6342
0.1820 0.3643 0.8838
0.3078 0.6271 0.1212
0.4312 0.8784 0.3718
0.5592 0.1147 0.6322
0.6860 0.3607 0.8880
0.8117 0.6312 0.1204
0.9447 0.8850 0.3595
0.2461 0.4985 0.4994
0.3672 0.7464 0.7561
0.1230 0.2528 0.2465
0.4919 0.9994 0.0012
0.6320 0.2368 0.2383
0.7475 0.4855 0.4978
0.8715 0.7486 0.7561
0.0317 0.5503 0.3275
0.0998 0.6921 0.9138
0.1746 0.7945 0.5679
0.2202 0.9614 0.1858
0.2911 0.0383 0.8115
0.3273 0.2083 0.4272
0.4097 0.3046 0.0616
0.4528 0.4491 0.6755
0.5096 0.5456 0.3281
0.5716 0.6853 0.9301
0.6476 0.7832 0.5867
0.7012 0.9460 0.1922
0.7715 0.0352 0.8190
0.8273 0.1976 0.4460
0.9028 0.3133 0.0868
0.9793 0.4561 0.6755
```



Record 5
The following is a simulated X-ray diffraction stick pattern of Mg3Ni3As4O16. It was derived from a crystal structure in the Materials Project, relaxed with PBE+U, using Cu Kα (weighted mean of Kα1 and Kα2).
Lines closer than 0.1° are merged.

Top 10 peaks for 2θ from 15° to 90°, sorted by position:
23.90°, d 3.724, rel. 41
24.52°, d 3.630, rel. 36
27.16°, d 3.284, rel. 100
29.91°, d 2.988, rel. 53
33.03°, d 2.712, rel. 29
34.85°, d 2.575, rel. 68
36.47°, d 2.463, rel. 43
39.79°, d 2.266, rel. 24
53.92°, d 1.700, rel. 31
58.82°, d 1.570, rel. 29

Cell and atoms:
```
Mg3Ni3As4O16
1.0
8.5701 0.0000 0.0000
0.0000 5.1451 0.0000
-5.7262 0.0000 14.8942
Mg Ni As O
6 6 8 32
Direct
0.0000 0.0000 0.0000
0.0000 0.5000 0.5000
0.3102 0.0462 0.2887
0.3102 0.4538 0.7887
0.6898 0.5462 0.2113
0.6898 0.9538 0.7113
0.2058 0.5109 0.3756
0.2058 0.9891 0.8756
0.5000 0.0000 0.5000
0.5000 0.5000 0.0000
0.7942 0.0109 0.1244
0.7942 0.4891 0.6244
0.0426 0.0097 0.6499
0.0426 0.4903 0.1499
0.4173 0.5119 0.6020
0.4173 0.9881 0.1020
0.5827 0.0119 0.8980
0.5827 0.4881 0.3980
0.9574 0.5097 0.8501
0.9574 0.9903 0.3501
0.0126 0.6782 0.6286
0.0126 0.8218 0.1286
0.0948 0.1760 0.5732
0.0948 0.3240 0.0732
0.1445 0.6162 0.8409
0.1445 0.8838 0.3409
0.1980 0.0882 0.7526
0.1980 0.4118 0.2526
0.2463 0.5758 0.5078
0.2463 0.9242 0.0078
0.3956 0.5907 0.6988
0.3956 0.9093 0.1988
0.4251 0.2241 0.9072
0.4251 0.2759 0.4072
0.4853 0.7136 0.8955
0.4853 0.7864 0.3955
0.5147 0.2136 0.6045
0.5147 0.2864 0.1045
0.5749 0.7241 0.5928
0.5749 0.7759 0.0928
0.6044 0.0907 0.8012
0.6044 0.4093 0.3012
0.7537 0.0758 0.9922
0.7537 0.4242 0.4922
0.8020 0.5882 0.7474
0.8020 0.9118 0.2474
0.8555 0.1162 0.6591
0.8555 0.3838 0.1591
0.9052 0.6760 0.9268
0.9052 0.8240 0.4268
0.9874 0.1782 0.8714
0.9874 0.3218 0.3714
```



Record 6
The following is a simulated X-ray diffraction stick pattern of Lu6WO12. It was derived from a crystal structure in the Materials Project, relaxed with PBE+U, using Cu Kα (weighted mean of Kα1 and Kα2).
Lines closer than 0.1° are merged.

Top 10 peaks for 2θ from 15° to 90°, sorted by position:
29.25°, d 3.053, rel. 30
30.00°, d 2.979, rel. 100
34.56°, d 2.595, rel. 47
49.19°, d 1.852, rel. 24
50.16°, d 1.819, rel. 26
58.27°, d 1.584, rel. 11
59.13°, d 1.562, rel. 23
59.56°, d 1.552, rel. 13
62.35°, d 1.489, rel. 10
81.53°, d 1.181, rel. 9

Cell and atoms:
```
Lu6WO12
1.0
4.8117 2.7780 3.0530
-4.8117 2.7780 3.0530
0.0000 -5.5560 3.0530
Lu W O
6 1 12
Direct
0.1113 0.8196 0.6443
0.1804 0.3557 0.8887
0.3557 0.8887 0.1804
0.6443 0.1113 0.8196
0.8196 0.6443 0.1113
0.8887 0.1804 0.3557
0.5000 0.5000 0.5000
0.0712 0.9096 0.3227
0.0904 0.6773 0.9288
0.1980 0.4206 0.5352
0.3227 0.0712 0.9096
0.4206 0.5352 0.1980
0.4648 0.8020 0.5794
0.5352 0.1980 0.4206
0.5794 0.4648 0.8020
0.6773 0.9288 0.0904
0.8020 0.5794 0.4648
0.9096 0.3227 0.0712
0.9288 0.0904 0.6773
```



Record 7
The following is a simulated X-ray diffraction stick pattern of MgMnO2. It was derived from a crystal structure in the Materials Project, relaxed with PBE+U, using Cu Kα (weighted mean of Kα1 and Kα2).
Lines closer than 0.1° are merged.

Top 10 peaks for 2θ from 15° to 90°, sorted by position:
20.99°, d 4.232, rel. 61
21.62°, d 4.110, rel. 71
24.06°, d 3.699, rel. 45
30.32°, d 2.948, rel. 100
31.73°, d 2.820, rel. 45
33.57°, d 2.670, rel. 54
33.75°, d 2.656, rel. 81
34.41°, d 2.607, rel. 44
35.85°, d 2.505, rel. 47
36.33°, d 2.473, rel. 66

Cell and atoms:
```
MgMnO2
1.0
3.1050 0.0000 0.0000
0.0299 8.2207 0.0000
0.8884 0.0125 8.4640
Mg Mn O
4 4 8
Direct
0.1534 0.4189 0.2445
0.2498 0.2382 0.6186
0.7502 0.7618 0.3814
0.8466 0.5811 0.7555
0.2054 0.9005 0.7147
0.4729 0.7475 0.0756
0.5271 0.2525 0.9244
0.7946 0.0995 0.2853
0.0242 0.7468 0.9165
0.2628 0.2401 0.3924
0.2783 0.8939 0.2824
0.3483 0.4279 0.7540
0.6517 0.5721 0.2460
0.7217 0.1061 0.7176
0.7372 0.7599 0.6076
0.9758 0.2532 0.0835
```



Record 8
The following is a simulated X-ray diffraction stick pattern of CrNi3P4O16. It was derived from a crystal structure in the Materials Project, relaxed with PBE+U, using Cu Kα (weighted mean of Kα1 and Kα2).
Lines closer than 0.1° are merged.

Top 10 peaks for 2θ from 15° to 90°, sorted by position:
17.87°, d 4.962, rel. 63
20.64°, d 4.304, rel. 67
23.66°, d 3.760, rel. 19
25.84°, d 3.448, rel. 100
31.04°, d 2.881, rel. 63
36.51°, d 2.461, rel. 48
36.56°, d 2.458, rel. 46
37.57°, d 2.394, rel. 23
53.13°, d 1.724, rel. 31
58.86°, d 1.569, rel. 22

Cell and atoms:
```
CrNi3P4O16
1.0
4.7772 0.0000 0.0000
0.0000 5.7619 0.0000
-0.0165 0.0000 9.9248
Cr Ni P O
1 3 4 16
Direct
0.0000 0.0000 0.0000
0.4277 0.0000 0.5003
0.5114 0.5000 0.0438
0.9298 0.5000 0.5444
0.0511 0.5000 0.8626
0.3775 0.5000 0.3676
0.5681 0.0000 0.1785
0.8767 0.0000 0.6760
0.1453 0.5000 0.7161
0.1926 0.2895 0.9411
0.1926 0.7105 0.9411
0.1952 0.0000 0.6654
0.2285 0.2929 0.4415
0.2285 0.7071 0.4415
0.2515 0.0000 0.1555
0.3066 0.5000 0.2174
0.6361 0.0000 0.3276
0.6969 0.5000 0.3803
0.7226 0.2038 0.1011
0.7226 0.7962 0.1011
0.7286 0.2081 0.6037
0.7286 0.7919 0.6037
0.7349 0.5000 0.8765
0.8026 0.0000 0.8276
```